Starting from DFT lattice parameters and positions (GGA-PBE), the powder diffractogram of Ti2Ga4Au was computed for Cu Kα X-rays.

Structural model:
```
7
Lattice="7.2220 -1.5299 0.0000 7.2220 1.5299 0.0000 -2.5405 0.0000 5.5462" Properties=species:S:1:pos:R:3 pbc="T T T"
Ti 2.5871 0.0000 1.6024
Ti 9.3163 0.0000 3.9438
Ga 0.1010 0.0000 2.6621
Ga 5.1203 0.0000 0.6618
Ga 6.7832 0.0000 4.8844
Ga 11.8025 0.0000 2.8841
Au 0.0000 0.0000 0.0000
```

Top 10 peaks for 2θ = 10–80°, sorted by position:
Position (°2θ)	d [Å]	intensity
13.5	6.566	93
16.0	5.536	70
25.0	3.567	45
30.0	2.980	61
35.6	2.523	93
37.4	2.407	84
40.2	2.242	73
42.4	2.132	100
43.1	2.098	73
45.2	2.008	49